No. 1
Sm7Ho2Er4: simulated PXRD pattern (copper Kα), based on a crystal structure in Alexandria, relaxed with PBE.
No peak broadening, texture or thermal motion is included.

Most intense lines, 15° ≤ 2θ ≤ 90°, in order of falling intensity:
Position (°2θ)	I/Imax	(hkl)
30.64	100	2 1 1
35.59	34	1 3 1
60.87	29	3 4 2
51.08	24	2 3 4
35.41	17	1 0 3
60.64	14	3 1 4
63.81	12	4 2 2
51.21	12	3 2 -1
83.30	12	5 0 2
86.18	7	-3 5 5

```
data_Sm7Ho2Er4
_cell_length_a 6.182
_cell_length_b 7.982
_cell_length_c 9.467
_cell_angle_alpha 65.07
_cell_angle_beta 89.78
_cell_angle_gamma 82.56
_space_group_name_H-M_alt 'P -1'
_space_group_IT_number 2
loop_
_space_group_symop_operation_xyz
'x,y,z'
'-x,-y,-z'
loop_
_atom_site_label
_atom_site_fract_x
_atom_site_fract_y
_atom_site_fract_z
_atom_site_occupancy
Sm1 0.000 0.000 0.000 1
Sm2 0.077 0.539 0.307 1
Sm3 0.231 0.616 0.923 1
Sm4 0.386 0.694 0.538 1
Ho1 0.154 0.076 0.615 1
Er1 0.307 0.152 0.231 1
Er2 0.461 0.228 0.847 1
```

---

No. 2
Sm6Ho6Er: simulated PXRD pattern (copper Kα), based on a crystal structure in Alexandria, relaxed with PBE.
No peak broadening, texture or thermal motion is included.

Most intense lines, 15° ≤ 2θ ≤ 90°, in order of falling intensity:
Position (°2θ)	I/Imax	(hkl)
34.73	100	2 0 2
31.00	84	1 1 2
30.82	59	2 0 0
54.80	38	2 2 0
26.61	36	1 1 0
31.53	33	0 0 4
55.80	32	1 1 6
35.20	28	1 0 4
28.15	28	1 0 3
64.61	26	2 2 4

```
data_Sm6Ho6Er
_cell_length_a 6.7003
_cell_length_b 6.7003
_cell_length_c 11.3515
_cell_angle_alpha 90.00
_cell_angle_beta 90.00
_cell_angle_gamma 120.00
_space_group_name_H-M_alt 'P 6/m m m'
_space_group_IT_number 191
_space_group_name_Hall '-P 6 2'
loop_
_atom_site_label
_atom_site_fract_x
_atom_site_fract_y
_atom_site_fract_z
_atom_site_occupancy
Sm1 0.0000 0.0000 0.1576 1
Sm2 0.3333 0.6667 0.0000 1
Sm3 0.3333 0.6667 0.5000 1
Ho1 0.0000 0.5000 0.2550 1
Er1 0.0000 0.0000 0.5000 1
```